(1)
Calculated powder XRD pattern of VI for CuKα, from a DFT-relaxed cell (GGA-PBE, the Materials Project).
Lines closer than 0.1° are merged.

```
data_VI
_space_group_name_H-M_alt 'P 63 m c'
_space_group_IT_number 186
_space_group_name_Hall 'P 6c -2c'
_cell_length_a 4.1812
_cell_length_b 4.1812
_cell_length_c 8.4609
_cell_angle_alpha 90.00
_cell_angle_beta 90.00
_cell_angle_gamma 120.00
loop_
_atom_site_label
_atom_site_type_symbol
_atom_site_fract_x
_atom_site_fract_y
_atom_site_fract_z
V1 V 0.3333 0.6667 0.0000
I1 I 0.3333 0.6667 0.6701
```

Most intense lines, 2θ = 15–90°, in order of falling intensity:
- 3.329 Å, I = 100
- 2.225 Å, I = 82
- 3.621 Å, I = 53
- 2.091 Å, I = 45
- 4.230 Å, I = 38
- 1.874 Å, I = 24

(2)
Calculated powder XRD pattern of Nd2Zr2O7 for CuKα, from a DFT-relaxed cell (GGA-PBE, the Materials Project).
Lines closer than 0.1° are merged.

Cell: 10.797 10.797 10.797 Å, 90.00 90.00 90.00°
Space group Fd-3m (No. 227, origin choice 2)
Asymmetric unit:
Nd: 0.000 0.000 0.000 [16 per cell]
Zr: 0.000 0.000 0.500 [16 per cell]
O: 0.085 0.375 0.875 [48 per cell]
O: 0.125 0.125 0.125 [8 per cell]

Most intense lines, 2θ = 15–90°, in order of falling intensity:
- 3.117 Å, I = 100
- 1.909 Å, I = 49
- 1.628 Å, I = 44
- 2.699 Å, I = 31
- 1.239 Å, I = 17
- 1.102 Å, I = 14

(3)
Calculated powder XRD pattern of Ba2NaOsO6 for CuKα, from a DFT-relaxed cell (GGA-PBE, the Materials Project).
Lines closer than 0.1° are merged.

```
data_Ba2NaOsO6
_space_group_name_H-M_alt 'F m -3 m'
_space_group_IT_number 225
_space_group_name_Hall '-F 4 2 3'
_cell_length_a 8.397
_cell_length_b 8.397
_cell_length_c 8.397
_cell_angle_alpha 90.00
_cell_angle_beta 90.00
_cell_angle_gamma 90.00
loop_
_atom_site_label
_atom_site_type_symbol
_atom_site_fract_x
_atom_site_fract_y
_atom_site_fract_z
Ba1 Ba 0.250 0.250 0.250
Na1 Na 0.000 0.000 0.000
Os1 Os 0.000 0.000 0.500
O1 O 0.000 0.000 0.273
```

Most intense lines, 2θ = 15–90°, in order of falling intensity:
- 2.969 Å, I = 100
- 1.714 Å, I = 40
- 4.848 Å, I = 35
- 2.099 Å, I = 30
- 1.122 Å, I = 22
- 1.484 Å, I = 19

(4)
Calculated powder XRD pattern of Sc3TlB for CuKα, from a DFT-relaxed cell (GGA-PBE, the Materials Project).
Lines closer than 0.1° are merged.

```
data_Sc3TlB
_space_group_name_H-M_alt 'P m -3 m'
_space_group_IT_number 221
_space_group_name_Hall '-P 4 2 3'
_cell_length_a 4.690
_cell_length_b 4.690
_cell_length_c 4.690
_cell_angle_alpha 90.00
_cell_angle_beta 90.00
_cell_angle_gamma 90.00
loop_
_atom_site_label
_atom_site_type_symbol
_atom_site_fract_x
_atom_site_fract_y
_atom_site_fract_z
Sc1 Sc 0.000 0.000 0.500
Tl1 Tl 0.500 0.500 0.500
B1 B 0.000 0.000 0.000
```

Most intense lines, 2θ = 15–90°, in order of falling intensity:
- 2.708 Å, I = 100
- 3.316 Å, I = 63
- 4.690 Å, I = 55
- 2.345 Å, I = 55
- 1.414 Å, I = 39
- 1.658 Å, I = 36

Copy entry 1 word for word.
Calculated powder XRD pattern of VI for CuKα, from a DFT-relaxed cell (GGA-PBE, the Materials Project).
Lines closer than 0.1° are merged.

```
data_VI
_space_group_name_H-M_alt 'P 63 m c'
_space_group_IT_number 186
_space_group_name_Hall 'P 6c -2c'
_cell_length_a 4.1812
_cell_length_b 4.1812
_cell_length_c 8.4609
_cell_angle_alpha 90.00
_cell_angle_beta 90.00
_cell_angle_gamma 120.00
loop_
_atom_site_label
_atom_site_type_symbol
_atom_site_fract_x
_atom_site_fract_y
_atom_site_fract_z
V1 V 0.3333 0.6667 0.0000
I1 I 0.3333 0.6667 0.6701
```

Most intense lines, 2θ = 15–90°, in order of falling intensity:
- 3.329 Å, I = 100
- 2.225 Å, I = 82
- 3.621 Å, I = 53
- 2.091 Å, I = 45
- 4.230 Å, I = 38
- 1.874 Å, I = 24